Calculated powder diffraction line list
Compound: NaGeAu3
Radiation: a wavelength of 1.5418 Å
Structure: the GGA-PBE geometry in OQMD

```
data_NaGeAu3
_chemical_formula_sum 'Na8 Ge8 Au24'
_cell_length_a 9.189
_cell_length_b 9.189
_cell_length_c 9.189
_cell_angle_alpha 90.00
_cell_angle_beta 90.00
_cell_angle_gamma 90.00
_symmetry_space_group_name_H-M 'P a -3'
_symmetry_Int_Tables_number 205
_symmetry_space_group_name_Hall '-P 2ac 2ab 3'
loop_
_atom_site_label
_atom_site_fract_x
_atom_site_fract_y
_atom_site_fract_z
Na1 0.099 0.099 0.099
Ge1 0.112 0.612 0.888
Au1 0.090 0.731 0.140
```

Top 8 peaks for 10° ≤ 2θ ≤ 90°, by intensity:
2θ/deg  I/Imax
35.21  100
40.47  94
36.59  89
45.22  64
23.72  61
62.28  42
44.07  31
19.32  28

Calculated powder diffraction line list
Compound: Zr2InGaCu2
Radiation: a wavelength of 1.5418 Å
Structure: the GGA-PBE geometry in OQMD

```
data_Zr2InGaCu2
_chemical_formula_sum 'Zr8 In4 Ga4 Cu8'
_cell_length_a 10.599
_cell_length_b 4.325
_cell_length_c 10.605
_cell_angle_alpha 90.00
_cell_angle_beta 109.47
_cell_angle_gamma 90.00
_symmetry_space_group_name_H-M 'P 1 m 1'
_symmetry_Int_Tables_number 6
_symmetry_space_group_name_Hall 'P -2y'
loop_
_atom_site_label
_atom_site_fract_x
_atom_site_fract_y
_atom_site_fract_z
Zr1 0.000 0.000 0.000
Zr2 0.121 0.500 0.364
Zr3 0.251 0.000 0.743
Zr4 0.373 0.500 0.117
Zr5 0.494 0.000 0.486
Zr6 0.627 0.500 0.876
Zr7 0.753 0.000 0.241
Zr8 0.878 0.500 0.612
In1 0.124 0.500 0.868
In2 0.375 0.500 0.617
In3 0.625 0.500 0.366
In4 0.750 0.000 0.743
Ga1 0.000 0.000 0.491
Ga2 0.249 0.000 0.242
Ga3 0.500 0.000 0.994
Ga4 0.875 0.500 0.118
Cu1 0.000 0.000 0.738
Cu2 0.124 0.500 0.122
Cu3 0.242 0.000 0.486
Cu4 0.380 0.500 0.873
Cu5 0.495 0.000 0.235
Cu6 0.625 0.500 0.618
Cu7 0.751 0.000 0.998
Cu8 0.878 0.500 0.364
```

Top 8 peaks for 10° ≤ 2θ ≤ 90°, by intensity:
2θ/deg  I/Imax
41.75  100
76.22  31
29.19  29
25.21  19
60.52  16
68.58  10
49.39  9
51.75  8

Calculated powder diffraction line list
Compound: Pm5Sb3
Radiation: a wavelength of 1.5418 Å
Structure: the GGA-PBE geometry in OQMD

```
data_Pm5Sb3
_chemical_formula_sum 'Pm10 Sb6'
_cell_length_a 9.2498
_cell_length_b 9.2498
_cell_length_c 6.4626
_cell_angle_alpha 90.00
_cell_angle_beta 90.00
_cell_angle_gamma 120.00
_symmetry_space_group_name_H-M 'P 63/m c m'
_symmetry_Int_Tables_number 193
_symmetry_space_group_name_Hall '-P 6c 2'
loop_
_atom_site_label
_atom_site_fract_x
_atom_site_fract_y
_atom_site_fract_z
Pm1 0.0000 0.2491 0.2500
Pm2 0.3333 0.6667 0.0000
Sb1 0.0000 0.3871 0.7500
```

Top 8 peaks for 10° ≤ 2θ ≤ 90°, by intensity:
2θ/deg  I/Imax
32.66  100
33.84  86
33.56  57
29.50  32
52.11  27
48.40  23
29.81  18
27.61  17

Calculated powder diffraction line list
Compound: PrSe2
Radiation: a wavelength of 1.5418 Å
Structure: the GGA-PBE geometry in OQMD

```
data_PrSe2
_chemical_formula_sum 'Pr8 Se16'
_cell_length_a 8.389
_cell_length_b 8.389
_cell_length_c 8.613
_cell_angle_alpha 90.00
_cell_angle_beta 90.00
_cell_angle_gamma 90.00
_symmetry_space_group_name_H-M 'P -4 b 2'
_symmetry_Int_Tables_number 117
_symmetry_space_group_name_Hall 'P -4 -2ab'
loop_
_atom_site_label
_atom_site_fract_x
_atom_site_fract_y
_atom_site_fract_z
Pr1 0.008 0.249 0.274
Se1 0.000 0.000 0.000
Se2 0.000 0.500 0.000
Se3 0.002 0.250 0.632
Se4 0.229 0.729 0.000
```

Top 8 peaks for 10° ≤ 2θ ≤ 90°, by intensity:
2θ/deg  I/Imax
36.79  100
31.91  71
37.98  59
43.13  58
23.59  43
30.13  37
74.88  37
31.15  35

Calculated powder diffraction line list
Compound: PrNdAl4Pd2
Radiation: a wavelength of 1.5418 Å
Structure: the GGA-PBE geometry in OQMD

```
data_PrNdAl4Pd2
_chemical_formula_sum 'Pr2 Nd2 Al8 Pd4'
_cell_length_a 7.052
_cell_length_b 4.256
_cell_length_c 11.001
_cell_angle_alpha 90.00
_cell_angle_beta 90.00
_cell_angle_gamma 90.00
_symmetry_space_group_name_H-M 'A m m 2'
_symmetry_Int_Tables_number 38
_symmetry_space_group_name_Hall 'A 2 -2'
loop_
_atom_site_label
_atom_site_fract_x
_atom_site_fract_y
_atom_site_fract_z
Pr1 0.000 0.000 0.000
Nd1 0.500 0.000 0.120
Al1 0.195 0.000 0.718
Al2 0.306 0.000 0.402
Pd1 0.000 0.000 0.277
Pd2 0.500 0.000 0.844
```

Top 8 peaks for 10° ≤ 2θ ≤ 90°, by intensity:
2θ/deg  I/Imax
34.71  100
34.01  69
35.02  56
25.26  52
22.40  49
50.89  30
56.19  29
42.48  27

Calculated powder diffraction line list
Compound: Co9Ni4
Radiation: a wavelength of 1.5418 Å
Structure: the GGA-PBE geometry in OQMD

```
data_Co9Ni4
_chemical_formula_sum 'Co27 Ni12'
_cell_length_a 4.5573
_cell_length_b 4.5573
_cell_length_c 24.2388
_cell_angle_alpha 90.00
_cell_angle_beta 90.00
_cell_angle_gamma 120.00
_symmetry_space_group_name_H-M 'R -3 m'
_symmetry_Int_Tables_number 166
_symmetry_space_group_name_Hall '-R 3 2"'
loop_
_atom_site_label
_atom_site_fract_x
_atom_site_fract_y
_atom_site_fract_z
Co1 0.0000 0.0000 0.0000
Co2 0.0000 0.0000 0.4533
Co3 0.0039 0.5020 0.4124
Ni1 0.0000 0.0000 0.1650
Ni2 0.0000 0.0000 0.3481
```

Top 8 peaks for 10° ≤ 2θ ≤ 90°, by intensity:
2θ/deg  I/Imax
45.71  100
39.55  50
47.24  49
49.89  46
43.83  45
46.15  44
85.16  30
44.87  26

Calculated powder diffraction line list
Compound: Dy4Ga12Cu
Radiation: a wavelength of 1.5418 Å
Structure: the GGA-PBE geometry in OQMD

```
data_Dy4Ga12Cu
_chemical_formula_sum 'Dy8 Ga24 Cu2'
_cell_length_a 8.615
_cell_length_b 8.615
_cell_length_c 8.615
_cell_angle_alpha 90.00
_cell_angle_beta 90.00
_cell_angle_gamma 90.00
_symmetry_space_group_name_H-M 'I m -3 m'
_symmetry_Int_Tables_number 229
_symmetry_space_group_name_Hall '-I 4 2 3'
loop_
_atom_site_label
_atom_site_fract_x
_atom_site_fract_y
_atom_site_fract_z
Dy1 0.250 0.250 0.250
Ga1 0.000 0.000 0.293
Ga2 0.000 0.250 0.500
Cu1 0.000 0.000 0.000
```

Top 8 peaks for 10° ≤ 2θ ≤ 90°, by intensity:
2θ/deg  I/Imax
36.12  100
41.95  58
60.82  34
72.82  31
29.32  28
76.62  10
20.62  10
47.18  8